Starting from a PBE-relaxed structure, the PXRD pattern of TbEr5Zn6 was computed for Cu Kα X-rays.

Principal peaks in the range 5° ≤ 2θ ≤ 70°, sorted by position:
two_theta  I/Imax
25.12  19
35.82  100
51.42  6
51.62  12
64.27  12
64.40  24

Cell and atoms:
Cell lengths 5.006, 15.032, 7.109 Å; angles 90.00, 90.00, 90.00 degrees
Space group Cmmm (No. 65)
Symmetry-distinct sites (fractional):
Tb: 0.000 0.000 0.000 (multiplicity 2)
Er: 0.000 0.000 0.500 (multiplicity 2)
Er: 0.000 0.333 0.000 (multiplicity 4)
Er: 0.000 0.334 0.500 (multiplicity 4)
Zn: 0.000 0.168 0.252 (multiplicity 8)
Zn: 0.000 0.500 0.252 (multiplicity 4)